[1]
# Pm2GaSe
Theoretical powder X-ray diffraction pattern, Cu Kα (weighted mean of Kα1 and Kα2). Input: a cell relaxed with PBE.
Kinematic intensities with the Lorentz-polarization factor, no thermal factor.

Structural model:
a = 4.359 Å, b = 23.167 Å, c = 4.144 Å
α = 90.00°, β = 90.00°, γ = 90.00°
Fractional positions:
Pm  0.000  0.066  0.250
Pm  0.000  0.319  0.250
Pm  0.000  0.681  0.750
Pm  0.000  0.934  0.750
Pm  0.500  0.181  0.750
Pm  0.500  0.434  0.750
Pm  0.500  0.566  0.250
Pm  0.500  0.819  0.250
Ga  0.000  0.462  0.250
Ga  0.000  0.538  0.750
Ga  0.500  0.038  0.750
Ga  0.500  0.962  0.250
Se  0.000  0.192  0.250
Se  0.000  0.808  0.750
Se  0.500  0.308  0.750
Se  0.500  0.692  0.250

The 12 most intense peaks (5° ≤ 2θ ≤ 70°), sorted by position:
Position (°2θ)  I/Imax
26.45  19
28.11  15
30.00  100
30.88  43
31.97  13
40.56  55
41.43  26
43.68  22
46.46  16
52.55  19
54.45  17
61.78  16

=====

[2]
# Pm3Ga4Si3
Theoretical powder X-ray diffraction pattern, Cu Kα (weighted mean of Kα1 and Kα2). Input: a cell relaxed with PBE.
Kinematic intensities with the Lorentz-polarization factor, no thermal factor.

Structural model:
a = 8.257 Å, b = 8.257 Å, c = 8.257 Å
α = 109.47°, β = 109.47°, γ = 109.47°
Fractional positions:
Pm  0.125  0.875  0.250
Pm  0.250  0.125  0.875
Pm  0.375  0.625  0.750
Pm  0.625  0.750  0.375
Pm  0.750  0.375  0.625
Pm  0.875  0.250  0.125
Ga  0.000  0.182  0.500
Ga  0.000  0.682  0.500
Ga  0.182  0.500  0.000
Ga  0.318  0.318  0.318
Ga  0.500  0.000  0.182
Ga  0.500  0.000  0.682
Ga  0.682  0.500  0.000
Ga  0.818  0.818  0.818
Si  0.125  0.750  0.875
Si  0.250  0.625  0.375
Si  0.375  0.250  0.625
Si  0.625  0.375  0.250
Si  0.750  0.875  0.125
Si  0.875  0.125  0.750

The 12 most intense peaks (5° ≤ 2θ ≤ 70°), sorted by position:
Position (°2θ)  I/Imax
22.85  25
26.44  9
29.63  67
35.22  100
42.40  40
44.58  15
46.67  13
52.58  16
59.79  25
63.20  13
66.52  10
68.14  10

=====

[3]
# Pm5GaSi2
Theoretical powder X-ray diffraction pattern, Cu Kα (weighted mean of Kα1 and Kα2). Input: a cell relaxed with PBE.
Kinematic intensities with the Lorentz-polarization factor, no thermal factor.

Structural model:
a = 8.970 Å, b = 8.970 Å, c = 8.970 Å
α = 128.70°, β = 128.70°, γ = 75.50°
Fractional positions:
Pm  0.000  0.000  0.000
Pm  0.034  0.534  0.855
Pm  0.179  0.034  0.500
Pm  0.321  0.821  0.855
Pm  0.466  0.321  0.500
Pm  0.500  0.500  0.000
Pm  0.534  0.679  0.500
Pm  0.679  0.179  0.145
Pm  0.821  0.966  0.500
Pm  0.966  0.466  0.145
Ga  0.250  0.250  0.000
Ga  0.750  0.750  0.000
Si  0.116  0.384  0.500
Si  0.384  0.884  0.268
Si  0.616  0.116  0.732
Si  0.884  0.616  0.500

The 12 most intense peaks (5° ≤ 2θ ≤ 70°), sorted by position:
Position (°2θ)  I/Imax
26.42  46
30.00  29
31.97  100
32.61  27
34.24  73
36.59  50
48.77  19
52.28  51
53.83  15
56.58  29
66.86  14
67.95  24

=====

[4]
# Pm5Ga2Si2
Theoretical powder X-ray diffraction pattern, Cu Kα (weighted mean of Kα1 and Kα2). Input: a cell relaxed with PBE.
Kinematic intensities with the Lorentz-polarization factor, no thermal factor.

Structural model:
a = 9.912 Å, b = 9.912 Å, c = 9.912 Å
α = 66.90°, β = 130.51°, γ = 137.97°
Fractional positions:
Pm  0.181  0.058  0.239
Pm  0.181  0.442  0.623
Pm  0.235  0.094  0.641
Pm  0.454  0.594  0.359
Pm  0.477  0.018  0.157
Pm  0.477  0.820  0.959
Pm  0.819  0.558  0.377
Pm  0.819  0.942  0.761
Pm  0.861  0.320  0.843
Pm  0.861  0.518  0.041
Ga  0.658  0.158  0.500
Ga  0.658  0.658  0.000
Ga  0.888  0.673  0.715
Ga  0.958  0.173  0.285
Si  0.301  0.410  0.032
Si  0.301  0.768  0.391
Si  0.378  0.268  0.968
Si  0.378  0.910  0.609

The 12 most intense peaks (5° ≤ 2θ ≤ 70°), sorted by position:
Position (°2θ)  I/Imax
25.43  47
27.31  23
27.83  66
29.06  100
29.73  44
31.84  39
33.22  33
34.97  29
36.54  64
39.55  25
41.45  34
52.36  28

=====

[5]
# Pm4Ga5Si2
Theoretical powder X-ray diffraction pattern, Cu Kα (weighted mean of Kα1 and Kα2). Input: a cell relaxed with PBE.
Kinematic intensities with the Lorentz-polarization factor, no thermal factor.

Structural model:
a = 7.066 Å, b = 4.379 Å, c = 8.057 Å
α = 90.00°, β = 91.29°, γ = 90.00°
Fractional positions:
Pm  0.220  0.000  0.139
Pm  0.246  0.000  0.617
Pm  0.754  0.000  0.383
Pm  0.780  0.000  0.861
Ga  0.123  0.500  0.881
Ga  0.435  0.500  0.348
Ga  0.500  0.500  0.000
Ga  0.565  0.500  0.652
Ga  0.877  0.500  0.119
Si  0.080  0.500  0.374
Si  0.920  0.500  0.626

The 12 most intense peaks (5° ≤ 2θ ≤ 70°), sorted by position:
Position (°2θ)  I/Imax
25.21  21
25.71  13
32.57  100
32.96  45
41.23  23
44.11  14
45.02  22
48.95  8
56.15  14
61.96  10
62.69  16
69.70  11

=====

[6]
# Pm4Ga3Si5
Theoretical powder X-ray diffraction pattern, Cu Kα (weighted mean of Kα1 and Kα2). Input: a cell relaxed with PBE.
Kinematic intensities with the Lorentz-polarization factor, no thermal factor.

Structural model:
a = 7.338 Å, b = 7.338 Å, c = 11.352 Å
α = 121.37°, β = 121.37°, γ = 35.67°
Fractional positions:
Pm  0.104  0.104  0.445
Pm  0.243  0.243  0.831
Pm  0.757  0.757  0.169
Pm  0.896  0.896  0.555
Ga  0.000  0.000  0.000
Ga  0.410  0.410  0.147
Ga  0.590  0.590  0.853
Si  0.249  0.249  0.339
Si  0.429  0.429  0.378
Si  0.500  0.500  0.000
Si  0.571  0.571  0.622
Si  0.751  0.751  0.661

The 12 most intense peaks (5° ≤ 2θ ≤ 70°), sorted by position:
Position (°2θ)  I/Imax
21.41  37
23.51  37
25.59  20
26.54  20
27.76  100
30.02  41
31.08  77
31.83  43
37.56  46
37.98  32
40.12  46
40.77  21